The following is a simulated XRD peak list of Tl3Cd3Hg5. It was derived from a cell relaxed with GGA-PBE, using copper Kα.
Lines closer than 0.1° are merged.

Main lines, low angle first (5° ≤ 2θ ≤ 70°):
- 2θ = 26.79°, I 18, (0 1 3)
- 2θ = 28.69°, I 17, (0 3 2)
- 2θ = 32.24°, I 17, (-1 1 2)
- 2θ = 32.85°, I 17, (1 0 2)
- 2θ = 33.04°, I 100, (1 2 0)
- 2θ = 33.60°, I 23, (0 1 -3)
- 2θ = 34.03°, I 23, (0 3 -1)
- 2θ = 38.05°, I 44, (1 1 3)

Structural model:
Cell lengths 3.3615, 9.7972, 9.9836 Å; angles 69.08, 89.98, 89.95 degrees
Space group P1 (No. 1)
Asymmetric unit:
1 Tl 0.0000 0.0000 0.0000
2 Tl 0.0017 0.4128 0.8864
3 Tl 0.5024 0.1946 0.1915
4 Cd 0.0046 0.2341 0.4483
5 Cd 0.5010 0.7381 0.9362
6 Cd 0.5020 0.6739 0.6497
7 Hg 0.0005 0.5323 0.4722
8 Hg 0.0009 0.5213 0.1729
9 Hg 0.0079 0.8767 0.3579
10 Hg 0.5017 0.2315 0.7161
11 Hg 0.9987 0.9398 0.6701